[1]
# Ac3Tb3HoTe8
Calculated XRD peak list, Cu Kα, 1.54184 Å. Input: DFT lattice parameters and positions (PBE).
Kinematic intensities with the Lorentz-polarization factor, no thermal factor.

Structure:
a b c (Å): 9.160 9.160 9.160
angles (deg): 58.47 58.47 58.47
Atoms (fractional coordinates):
1 Ac 0.000 0.500 0.500
2 Ac 0.500 0.000 0.500
3 Ac 0.500 0.500 0.000
4 Tb 0.000 0.000 0.500
5 Tb 0.000 0.500 0.000
6 Tb 0.500 0.000 0.000
7 Ho 0.500 0.500 0.500
8 Te 0.238 0.746 0.746
9 Te 0.242 0.242 0.242
10 Te 0.254 0.254 0.762
11 Te 0.254 0.762 0.254
12 Te 0.746 0.238 0.746
13 Te 0.746 0.746 0.238
14 Te 0.758 0.758 0.758
15 Te 0.762 0.254 0.254

Principal peaks in the range 5° ≤ 2θ ≤ 70°, low angle first:
3.200 Å, rel. 100; 2.289 Å, rel. 38; 2.237 Å, rel. 38; 1.833 Å, rel. 20; 1.444 Å, rel. 17; 1.418 Å, rel. 18


[2]
# AcTbHoTl
Calculated XRD peak list, Cu Kα, 1.54184 Å. Input: DFT lattice parameters and positions (PBE).
Kinematic intensities with the Lorentz-polarization factor, no thermal factor.

Structure:
a b c (Å): 7.950 7.950 7.950
angles (deg): 90.00 90.00 90.00
Atoms (fractional coordinates):
1 Ac 0.000 0.000 0.000
2 Ac 0.000 0.500 0.500
3 Ac 0.500 0.000 0.500
4 Ac 0.500 0.500 0.000
5 Tb 0.250 0.250 0.250
6 Tb 0.250 0.750 0.750
7 Tb 0.750 0.250 0.750
8 Tb 0.750 0.750 0.250
9 Ho 0.250 0.250 0.750
10 Ho 0.250 0.750 0.250
11 Ho 0.750 0.250 0.250
12 Ho 0.750 0.750 0.750
13 Tl 0.000 0.000 0.500
14 Tl 0.000 0.500 0.000
15 Tl 0.500 0.000 0.000
16 Tl 0.500 0.500 0.500

Principal peaks in the range 5° ≤ 2θ ≤ 70°, low angle first:
3.975 Å, rel. 2; 2.811 Å, rel. 100; 1.988 Å, rel. 19; 1.778 Å, rel. 1; 1.623 Å, rel. 40; 1.405 Å, rel. 12


[3]
# AcTbYHo3
Calculated XRD peak list, Cu Kα, 1.54184 Å. Input: DFT lattice parameters and positions (PBE).
Kinematic intensities with the Lorentz-polarization factor, no thermal factor.

Structure:
a b c (Å): 11.887 11.887 6.954
angles (deg): 98.03 98.03 26.30
Atoms (fractional coordinates):
1 Ac 0.127 0.127 0.483
2 Ac 0.873 0.873 0.517
3 Tb 0.168 0.168 0.022
4 Tb 0.832 0.832 0.978
5 Y 0.425 0.425 0.890
6 Y 0.575 0.575 0.110
7 Ho 0.021 0.021 0.784
8 Ho 0.275 0.275 0.688
9 Ho 0.319 0.319 0.217
10 Ho 0.681 0.681 0.783
11 Ho 0.725 0.725 0.312
12 Ho 0.979 0.979 0.216

Principal peaks in the range 5° ≤ 2θ ≤ 70°, low angle first:
11.456 Å, rel. 27; 2.988 Å, rel. 66; 2.830 Å, rel. 100; 2.800 Å, rel. 41; 2.790 Å, rel. 32; 2.704 Å, rel. 49


[4]
# Ac3HoTe4
Calculated XRD peak list, Cu Kα, 1.54184 Å. Input: DFT lattice parameters and positions (PBE).
Kinematic intensities with the Lorentz-polarization factor, no thermal factor.

Structure:
a b c (Å): 8.222 9.178 7.909
angles (deg): 90.00 108.91 90.00
Atoms (fractional coordinates):
1 Ac 0.000 0.122 0.250
2 Ac 0.000 0.373 0.750
3 Ac 0.000 0.627 0.250
4 Ac 0.000 0.878 0.750
5 Ac 0.500 0.127 0.750
6 Ac 0.500 0.873 0.250
7 Ho 0.500 0.376 0.250
8 Ho 0.500 0.624 0.750
9 Te 0.262 0.136 0.013
10 Te 0.262 0.864 0.513
11 Te 0.269 0.386 0.498
12 Te 0.269 0.614 0.998
13 Te 0.731 0.386 0.002
14 Te 0.731 0.614 0.502
15 Te 0.738 0.136 0.487
16 Te 0.738 0.864 0.987

Principal peaks in the range 5° ≤ 2θ ≤ 70°, low angle first:
3.279 Å, rel. 100; 2.352 Å, rel. 27; 2.343 Å, rel. 13; 2.286 Å, rel. 25; 1.880 Å, rel. 14; 1.639 Å, rel. 13


[5]
# Ac5HoTe8
Calculated XRD peak list, Cu Kα, 1.54184 Å. Input: DFT lattice parameters and positions (PBE).
Kinematic intensities with the Lorentz-polarization factor, no thermal factor.

Structure:
a b c (Å): 8.554 8.554 8.554
angles (deg): 109.76 109.76 108.90
Atoms (fractional coordinates):
1 Ac 0.000 0.000 0.000
2 Ac 0.125 0.499 0.872
3 Ac 0.501 0.373 0.626
4 Ac 0.627 0.253 0.128
5 Ac 0.747 0.875 0.374
6 Ho 0.250 0.750 0.500
7 Te 0.032 0.283 0.406
8 Te 0.224 0.109 0.742
9 Te 0.367 0.483 0.258
10 Te 0.373 0.968 0.251
11 Te 0.517 0.776 0.884
12 Te 0.717 0.123 0.749
13 Te 0.877 0.627 0.594
14 Te 0.891 0.633 0.116

Principal peaks in the range 5° ≤ 2θ ≤ 70°, low angle first:
4.025 Å, rel. 21; 3.142 Å, rel. 48; 3.114 Å, rel. 100; 2.648 Å, rel. 40; 2.635 Å, rel. 62; 2.203 Å, rel. 25


[6]
# Ac4HoTe5
Calculated XRD peak list, Cu Kα, 1.54184 Å. Input: DFT lattice parameters and positions (PBE).
Kinematic intensities with the Lorentz-polarization factor, no thermal factor.

Structure:
a b c (Å): 19.591 19.591 19.591
angles (deg): 13.49 13.49 13.49
Atoms (fractional coordinates):
1 Ac 0.104 0.104 0.104
2 Ac 0.299 0.299 0.299
3 Ac 0.701 0.701 0.701
4 Ac 0.896 0.896 0.896
5 Ho 0.500 0.500 0.500
6 Te 0.000 0.000 0.000
7 Te 0.194 0.194 0.194
8 Te 0.403 0.403 0.403
9 Te 0.597 0.597 0.597
10 Te 0.806 0.806 0.806

Principal peaks in the range 5° ≤ 2θ ≤ 70°, low angle first:
3.289 Å, rel. 100; 2.351 Å, rel. 36; 2.301 Å, rel. 40; 1.885 Å, rel. 21; 1.484 Å, rel. 14; 1.458 Å, rel. 18


[7]
# Ac3HoTe6
Calculated XRD peak list, Cu Kα, 1.54184 Å. Input: DFT lattice parameters and positions (PBE).
Kinematic intensities with the Lorentz-polarization factor, no thermal factor.

Structure:
a b c (Å): 9.435 9.435 9.435
angles (deg): 98.82 98.82 98.82
Atoms (fractional coordinates):
1 Ac 0.117 0.288 0.629
2 Ac 0.288 0.629 0.117
3 Ac 0.371 0.883 0.712
4 Ac 0.629 0.117 0.288
5 Ac 0.712 0.371 0.883
6 Ac 0.883 0.712 0.371
7 Ho 0.000 0.000 0.000
8 Ho 0.500 0.500 0.500
9 Te 0.035 0.935 0.682
10 Te 0.065 0.318 0.965
11 Te 0.188 0.562 0.429
12 Te 0.318 0.965 0.065
13 Te 0.429 0.188 0.562
14 Te 0.438 0.571 0.812
15 Te 0.562 0.429 0.188
16 Te 0.571 0.812 0.438
17 Te 0.682 0.035 0.935
18 Te 0.812 0.438 0.571
19 Te 0.935 0.682 0.035
20 Te 0.965 0.065 0.318

Principal peaks in the range 5° ≤ 2θ ≤ 70°, low angle first:
4.536 Å, rel. 27; 4.434 Å, rel. 76; 3.071 Å, rel. 76; 2.754 Å, rel. 100; 2.708 Å, rel. 76; 1.547 Å, rel. 27


[8]
# AcHoTh2
Calculated XRD peak list, Cu Kα, 1.54184 Å. Input: DFT lattice parameters and positions (PBE).
Kinematic intensities with the Lorentz-polarization factor, no thermal factor.

Structure:
a b c (Å): 3.578 3.578 38.254
angles (deg): 90.00 90.00 120.00
Atoms (fractional coordinates):
1 Ac 0.000 0.000 0.000
2 Ac 0.333 0.667 0.667
3 Ac 0.667 0.333 0.333
4 Ho 0.000 0.000 0.500
5 Ho 0.333 0.667 0.167
6 Ho 0.667 0.333 0.833
7 Th 0.000 0.000 0.091
8 Th 0.000 0.000 0.909
9 Th 0.333 0.667 0.576
10 Th 0.333 0.667 0.758
11 Th 0.667 0.333 0.242
12 Th 0.667 0.333 0.424

Principal peaks in the range 5° ≤ 2θ ≤ 70°, low angle first:
3.188 Å, rel. 66; 3.088 Å, rel. 59; 3.059 Å, rel. 100; 2.408 Å, rel. 95; 1.789 Å, rel. 47; 1.560 Å, rel. 50